No. 1
Theoretical powder XRD pattern of LaZnGa2Ni4 for Cu Kα X-rays, from the PBE geometry in Alexandria.
Kinematic intensities with the Lorentz-polarization factor, no thermal factor.

Structure:
abc: 8.872 8.872 8.872
angles: 26.53 26.53 26.53
Positions (direct):
La: 0.000 0.000 0.000
Zn: 0.500 0.500 0.500
Ga: 0.236 0.236 0.236
Ga: 0.764 0.764 0.764
Ni: 0.132 0.132 0.132
Ni: 0.407 0.407 0.407
Ni: 0.593 0.593 0.593
Ni: 0.868 0.868 0.868

Peak list (6 most intense, 2θ = 5–70°, low angle first)
Position (°2θ)  Rel. int.
30.77  259
35.32  153
37.92  799
44.51  1000
46.68  218
59.87  201

=====

No. 2
Theoretical powder XRD pattern of Cs3PtO3 for Cu Kα X-rays, from the PBE geometry in Alexandria.
Kinematic intensities with the Lorentz-polarization factor, no thermal factor.

Structure:
abc: 7.226 7.226 8.014
angles: 99.74 99.74 98.21
Positions (direct):
Cs: 0.180 0.820 0.000
Cs: 0.217 0.783 0.500
Cs: 0.335 0.335 0.794
Cs: 0.665 0.665 0.206
Cs: 0.783 0.217 0.500
Cs: 0.820 0.180 0.000
Pt: 0.290 0.290 0.262
Pt: 0.710 0.710 0.738
O: 0.141 0.141 0.382
O: 0.256 0.518 0.170
O: 0.482 0.744 0.830
O: 0.518 0.256 0.170
O: 0.744 0.482 0.830
O: 0.859 0.859 0.618

Peak list (6 most intense, 2θ = 5–70°, low angle first)
Position (°2θ)  Rel. int.
25.41  1000
26.04  624
26.35  384
28.26  1000
28.46  317
30.46  383

=====

No. 3
Theoretical powder XRD pattern of Zr3SbS for Cu Kα X-rays, from the PBE geometry in Alexandria.
Kinematic intensities with the Lorentz-polarization factor, no thermal factor.

Structure:
abc: 7.667 7.667 3.939
angles: 90.00 90.00 106.28
Positions (direct):
Zr: 0.180 0.441 0.500
Zr: 0.183 0.817 0.000
Zr: 0.441 0.180 0.500
Zr: 0.559 0.820 0.500
Zr: 0.817 0.183 0.000
Zr: 0.820 0.559 0.500
Sb: 0.000 0.000 0.500
Sb: 0.500 0.500 0.000
S: 0.000 0.500 0.000
S: 0.500 0.000 0.000

Peak list (6 most intense, 2θ = 5–70°, low angle first)
Position (°2θ)  Rel. int.
29.87  357
33.04  1000
35.17  269
36.63  263
37.91  457
59.93  299

=====

No. 4
Theoretical powder XRD pattern of Nd3Se2S2 for Cu Kα X-rays, from the PBE geometry in Alexandria.
Kinematic intensities with the Lorentz-polarization factor, no thermal factor.

Structure:
abc: 4.122 7.085 7.364
angles: 99.88 90.06 106.90
Positions (direct):
Nd: 0.000 0.000 0.000
Nd: 0.239 0.478 0.747
Nd: 0.761 0.522 0.253
Se: 0.128 0.254 0.368
Se: 0.872 0.746 0.632
S: 0.372 0.744 0.105
S: 0.628 0.256 0.895

Peak list (6 most intense, 2θ = 5–70°, low angle first)
Position (°2θ)  Rel. int.
22.58  261
30.12  520
30.62  1000
42.88  391
44.09  344
54.18  208